# Pm2IrPbO8
Theoretical powder diffraction line list, CuKα. Input: a DFT-relaxed cell (PBE, Alexandria).

Atomic structure:
```
data_Pm2IrPbO8
_chemical_formula_sum 'Pm4 Ir2 Pb2 O16'
_symmetry_space_group_name_H-M 'C 1 2/m 1'
_symmetry_Int_Tables_number 12
_cell_length_a 7.1560
_cell_length_b 7.3116
_cell_length_c 6.9475
_cell_angle_alpha 90.00
_cell_angle_beta 90.00
_cell_angle_gamma 90.00
loop_
_symmetry_equiv_pos_as_xyz
'x,y,z'
'-x,-y,-z'
'-x,y,-z'
'x,-y,z'
'x+1/2,y+1/2,z'
'-x+1/2,-y+1/2,-z'
'-x+1/2,y+1/2,-z'
'x+1/2,-y+1/2,z'
loop_
_atom_site_label
_atom_site_fract_x
_atom_site_fract_y
_atom_site_fract_z
Pm1 0.0012 0.0000 0.2523
Ir1 0.0000 0.5000 0.5000
Pb1 0.0000 0.5000 0.0000
O1 0.9999 0.3222 0.2861
O2 0.1977 0.0000 0.9991
O3 0.2360 0.0000 0.5010
```

Peak list (10 most intense, 10 to 90 degrees two-theta, by angle)
two_theta, d_spacing, I/Imax, h k l
24.3, 3.656, 57, 0 2 0
24.9, 3.578, 51, 2 0 0
31.1, 2.874, 100, 1 1 2
35.1, 2.557, 30, 2 2 0
47.3, 1.922, 40, 1 3 2
47.9, 1.899, 36, 3 1 -2
57.3, 1.607, 10, 4 2 0
58.9, 1.569, 10, 0 2 4
60.5, 1.530, 21, 3 3 2
64.9, 1.437, 12, 2 2 4